This entry pairs a crystal structure of KGaCoF6 with its simulated X-ray powder pattern. Radiation: Cu Kα X-rays. Structure: DFT lattice parameters and positions (PBE+U).

Peak list (8 most intense, 2θ from 10° to 80°, by angle)
h k l  2θ (°)  Rel. int.
0 1 1  14.7  53
1 0 1  14.9  60
1 2 1  28.4  100
1 0 3  28.5  24
2 1 1  28.9  39
0 2 2  29.6  34
2 0 2  30.2  52
2 2 4  49.7  52

Atomic structure:
Unit cell a=7.200 b=7.408 c=10.434 alpha=90.00 beta=90.00 gamma=90.00
Space group Imma (No. 74)
Unique sites:
1 K 0.000 0.250 0.100 [4 per cell]
2 Ga 0.000 0.000 0.500 [4 per cell]
3 Co 0.250 0.250 0.750 [4 per cell]
4 F 0.000 0.250 0.442 [4 per cell]
5 F 0.000 0.250 0.834 [4 per cell]
6 F 0.191 0.043 0.622 [16 per cell]